For MgBe2O3, a cell relaxed with GGA-PBE gives the theoretical powder XRD pattern in this record (Cu Kα, 1.54184 Å).
Intensities are scaled so that the largest is 100.

Crystal structure
a b c (Å): 4.4873 2.7389 8.1525
angles (deg): 90.00 90.40 90.00
Space group P2_1/m (No. 11)
Symmetry-distinct sites (fractional):
Mg (0.2384, 0.2500, 0.4023) (multiplicity 2)
Be (0.1079, 0.7500, 0.0923) (multiplicity 2)
Be (0.3148, 0.2500, 0.7418) (multiplicity 2)
O (0.1303, 0.7500, 0.8926) (multiplicity 2)
O (0.2409, 0.7500, 0.5947) (multiplicity 2)
O (0.3396, 0.7500, 0.2344) (multiplicity 2)

Most intense lines, 2θ = 10–80°, sorted by position:
index, 2θ (°), I (rel.)
0 0 1, 10.85, 92
1 0 -1, 22.55, 29
1 0 2, 29.71, 38
0 1 2, 39.65, 36
1 1 -1, 40.09, 53
2 0 0, 40.19, 48
2 0 1, 41.84, 38
0 1 3, 47.11, 100
2 1 -2, 57.61, 27
2 1 -3, 63.44, 23